LuMgHg2: simulated powder diffractogram (Cu Kα, 1.54184 Å), based on a cell relaxed with PBE.
Peak positions follow from Bragg's law for the DFT cell and can differ from measured ones.

Top 6 peaks for 10 to 90 degrees two-theta, by intensity:
Position (°2θ)	intensity
35.73	100
64.18	37
51.42	18
86.61	17
21.65	14
25.05	14

Structure:
a b c (Å): 5.027 5.027 5.027
angles (deg): 60.00 60.00 60.00
Fractional positions:
Lu1 0.000 0.000 0.000
Mg1 0.500 0.500 0.500
Hg1 0.250 0.250 0.250
Hg2 0.750 0.750 0.750

***

LuScHg2: simulated powder diffractogram (Cu Kα, 1.54184 Å), based on a cell relaxed with PBE.
Peak positions follow from Bragg's law for the DFT cell and can differ from measured ones.

Top 6 peaks for 10 to 90 degrees two-theta, by intensity:
Position (°2θ)	intensity
35.31	100
63.37	37
50.79	18
85.40	17
74.68	12
24.77	10

Structure:
a b c (Å): 5.084 5.084 5.084
angles (deg): 60.00 60.00 60.00
Fractional positions:
Lu1 0.000 0.000 0.000
Sc1 0.500 0.500 0.500
Hg1 0.250 0.250 0.250
Hg2 0.750 0.750 0.750

***

TbLuHg2: simulated powder diffractogram (Cu Kα, 1.54184 Å), based on a cell relaxed with PBE.
Peak positions follow from Bragg's law for the DFT cell and can differ from measured ones.

Top 6 peaks for 10 to 90 degrees two-theta, by intensity:
Position (°2θ)	intensity
34.27	100
61.37	38
49.25	18
82.42	17
72.21	12
24.05	1

Structure:
a b c (Å): 5.233 5.233 5.233
angles (deg): 60.00 60.00 60.00
Fractional positions:
Tb1 0.000 0.000 0.000
Lu1 0.500 0.500 0.500
Hg1 0.250 0.250 0.250
Hg2 0.750 0.750 0.750

***

Copy entry 2 word for word.
LuScHg2: simulated powder diffractogram (Cu Kα, 1.54184 Å), based on a cell relaxed with PBE.
Peak positions follow from Bragg's law for the DFT cell and can differ from measured ones.

Top 6 peaks for 10 to 90 degrees two-theta, by intensity:
Position (°2θ)	intensity
35.31	100
63.37	37
50.79	18
85.40	17
74.68	12
24.77	10

Structure:
a b c (Å): 5.084 5.084 5.084
angles (deg): 60.00 60.00 60.00
Fractional positions:
Lu1 0.000 0.000 0.000
Sc1 0.500 0.500 0.500
Hg1 0.250 0.250 0.250
Hg2 0.750 0.750 0.750